Record 1
For Pm3ErSe4, a PBE-relaxed structure gives the theoretical powder X-ray diffraction pattern in this record (Cu Kα (weighted mean of Kα1 and Kα2)).
Peak positions follow from Bragg's law for the DFT cell and can differ from measured ones.

Structure:
```
Pm3ErSe4
1.0
8.4327 0.0000 0.0000
0.0000 11.7695 0.0000
0.0000 0.0000 4.0995
Pm Er Se
6 2 8
direct
0.0000 0.0000 0.0000
0.2500 0.2500 0.5000
0.2500 0.7500 0.5000
0.5000 0.5000 0.0000
0.7500 0.2500 0.5000
0.7500 0.7500 0.5000
0.0000 0.5000 0.0000
0.5000 0.0000 0.0000
0.0000 0.2553 0.0000
0.0000 0.7447 0.0000
0.2394 0.5000 0.5000
0.2606 0.0000 0.5000
0.5000 0.2447 0.0000
0.5000 0.7553 0.0000
0.7394 0.0000 0.5000
0.7606 0.5000 0.5000
```

Principal peaks in the range 10° ≤ 2θ ≤ 80°, by intensity:
2θ/deg  I/Imax
30.40  100
43.52  50
71.77  22
53.47  13
42.90  13
54.56  13
63.25  12
44.19  12
26.00  10
26.50  9
79.03  8
70.87  6

Record 2
For Pm3Er4Se8, a PBE-relaxed structure gives the theoretical powder X-ray diffraction pattern in this record (Cu Kα (weighted mean of Kα1 and Kα2)).
Peak positions follow from Bragg's law for the DFT cell and can differ from measured ones.

Structure:
```
Pm3Er4Se8
1.0
5.7978 -5.8021 0.0000
5.7978 5.8021 0.0000
-5.7664 0.0000 5.8061
Pm Er Se
3 4 8
direct
0.0000 0.0000 0.0000
0.0000 0.5000 0.0000
0.5000 0.0000 0.0000
0.0000 0.5000 0.5000
0.5000 0.0000 0.5000
0.5000 0.5000 0.0000
0.5000 0.5000 0.5000
0.2504 0.7496 0.5000
0.2544 0.2544 0.5090
0.2546 0.7454 0.0000
0.2555 0.2555 0.0018
0.7445 0.7445 0.9982
0.7454 0.2546 0.0000
0.7456 0.7456 0.4910
0.7496 0.2504 0.5000
```

Principal peaks in the range 10° ≤ 2θ ≤ 80°, by intensity:
2θ/deg  I/Imax
30.82  100
44.15  49
72.91  22
26.61  13
54.70  13
54.92  13
44.02  12
44.28  12
13.21  9
64.19  8
72.73  6
73.10  6

Record 3
For Tb4PmErSe8, a PBE-relaxed structure gives the theoretical powder X-ray diffraction pattern in this record (Cu Kα (weighted mean of Kα1 and Kα2)).
Peak positions follow from Bragg's law for the DFT cell and can differ from measured ones.

Structure:
```
Tb4PmErSe8
1.0
4.2380 2.4468 6.8987
-4.2380 2.4468 6.8987
0.0000 -4.8936 6.8987
Tb Pm Er Se
4 1 1 8
direct
0.0000 0.0000 0.0000
0.1226 0.6249 0.6249
0.6249 0.1226 0.6249
0.6249 0.6249 0.1226
0.2487 0.2487 0.2487
0.6246 0.6246 0.6246
0.3835 0.3835 0.3835
0.3864 0.3864 0.8439
0.3864 0.8439 0.3864
0.3976 0.8643 0.8643
0.8439 0.3864 0.3864
0.8643 0.3976 0.8643
0.8643 0.8643 0.3976
0.8677 0.8677 0.8677
```

Principal peaks in the range 10° ≤ 2θ ≤ 80°, by intensity:
2θ/deg  I/Imax
42.72  100
24.66  96
29.85  51
39.09  50
20.98  26
78.17  23
59.24  17
62.00  16
12.80  13
49.91  11
75.76  10
52.94  9

Record 4
For PmY3Er3Se8, a PBE-relaxed structure gives the theoretical powder X-ray diffraction pattern in this record (Cu Kα (weighted mean of Kα1 and Kα2)).
Peak positions follow from Bragg's law for the DFT cell and can differ from measured ones.

Structure:
```
PmY3Er3Se8
1.0
4.0548 2.3410 6.6236
-4.0548 2.3410 6.6236
0.0000 -4.6820 6.6236
Pm Y Er Se
1 3 3 8
direct
0.0000 0.0000 0.0000
0.0000 0.0000 0.5000
0.0000 0.5000 0.0000
0.5000 0.0000 0.0000
0.0000 0.5000 0.5000
0.5000 0.0000 0.5000
0.5000 0.5000 0.0000
0.2514 0.2514 0.2514
0.2592 0.2592 0.7378
0.2592 0.7378 0.2592
0.2622 0.7408 0.7408
0.7378 0.2592 0.2592
0.7408 0.2622 0.7408
0.7408 0.7408 0.2622
0.7486 0.7486 0.7486
```

Principal peaks in the range 10° ≤ 2θ ≤ 80°, by intensity:
2θ/deg  I/Imax
31.19  100
44.69  73
73.91  32
55.51  25
13.37  13
65.05  12
25.76  11
34.07  7
26.93  6
40.88  4
46.86  4
62.16  4

Record 5
For Pm3Sm5Er, a PBE-relaxed structure gives the theoretical powder X-ray diffraction pattern in this record (Cu Kα (weighted mean of Kα1 and Kα2)).
Peak positions follow from Bragg's law for the DFT cell and can differ from measured ones.

Structure:
```
Pm3Sm5Er
1.0
7.6787 -5.8268 0.0000
7.6787 5.8268 0.0000
-6.3448 0.0000 7.6151
Pm Sm Er
6 10 2
direct
0.0000 0.0000 0.0000
0.0062 0.0062 0.3170
0.4845 0.4845 0.1479
0.5000 0.5000 0.5000
0.5155 0.5155 0.8521
0.9938 0.9938 0.6830
0.0953 0.6000 0.7596
0.2257 0.2257 0.7302
0.2468 0.7532 0.5000
0.2749 0.2749 0.4542
0.4000 0.9047 0.2404
0.6000 0.0953 0.7596
0.7251 0.7251 0.5458
0.7532 0.2468 0.5000
0.7743 0.7743 0.2698
0.9047 0.4000 0.2404
0.2518 0.2518 0.0957
0.7482 0.7482 0.9043
```

Principal peaks in the range 10° ≤ 2θ ≤ 80°, by intensity:
2θ/deg  I/Imax
30.69  100
32.06  100
31.89  72
34.07  70
28.82  68
15.21  61
38.99  48
38.83  47
30.30  32
23.56  30
50.42  28
28.13  26

Record 6
For PmSm4Er15, a PBE-relaxed structure gives the theoretical powder X-ray diffraction pattern in this record (Cu Kα (weighted mean of Kα1 and Kα2)).
Peak positions follow from Bragg's law for the DFT cell and can differ from measured ones.

Structure:
```
PmSm4Er15
1.0
5.0063 0.0000 0.0000
0.0000 5.0063 0.0000
0.0000 0.0000 24.9540
Pm Sm Er
1 4 15
direct
0.0000 0.0000 0.0000
0.0000 0.0000 0.1999
0.0000 0.0000 0.3999
0.0000 0.0000 0.6001
0.0000 0.0000 0.8001
0.0000 0.5000 0.1001
0.0000 0.5000 0.2999
0.0000 0.5000 0.5000
0.0000 0.5000 0.7001
0.0000 0.5000 0.8999
0.5000 0.0000 0.1001
0.5000 0.0000 0.2999
0.5000 0.0000 0.5000
0.5000 0.0000 0.7001
0.5000 0.0000 0.8999
0.5000 0.5000 0.0000
0.5000 0.5000 0.2000
0.5000 0.5000 0.3999
0.5000 0.5000 0.6001
0.5000 0.5000 0.8000
```

Principal peaks in the range 10° ≤ 2θ ≤ 80°, by intensity:
2θ/deg  I/Imax
30.97  100
51.70  36
35.88  34
61.44  29
35.99  17
61.60  14
64.55  12
76.04  4
76.32  2

Record 7
For Pm2Sm7Er4, a PBE-relaxed structure gives the theoretical powder X-ray diffraction pattern in this record (Cu Kα (weighted mean of Kα1 and Kα2)).
Peak positions follow from Bragg's law for the DFT cell and can differ from measured ones.

Structure:
```
Pm2Sm7Er4
1.0
6.2119 0.0000 0.0000
1.0166 7.9657 0.0000
1.0010 3.9172 8.6170
Pm Sm Er
2 7 4
direct
0.1544 0.1931 0.3837
0.8456 0.8069 0.6163
0.0000 0.5000 0.0000
0.0752 0.3454 0.6936
0.2316 0.0386 0.0767
0.3863 0.7307 0.4616
0.6137 0.2693 0.5384
0.7684 0.9614 0.9233
0.9248 0.6546 0.3064
0.3075 0.8827 0.7713
0.4625 0.5762 0.1519
0.5375 0.4238 0.8481
0.6925 0.1173 0.2287
```

Principal peaks in the range 10° ≤ 2θ ≤ 80°, by intensity:
2θ/deg  I/Imax
30.47  100
35.37  34
50.79  30
35.24  17
60.40  14
60.51  14
60.29  11
63.34  6
63.48  6
50.97  6
74.84  4
60.57  4

Record 8
For Pm7Sm2Er4, a PBE-relaxed structure gives the theoretical powder X-ray diffraction pattern in this record (Cu Kα (weighted mean of Kα1 and Kα2)).
Peak positions follow from Bragg's law for the DFT cell and can differ from measured ones.

Structure:
```
Pm7Sm2Er4
1.0
3.0857 -5.3456 0.0000
3.0857 5.3456 0.0000
-0.0021 0.0000 13.1964
Pm Sm Er
7 2 4
direct
0.0000 0.0000 0.0000
0.9998 0.3698 0.7763
0.0002 0.6302 0.2237
0.3695 0.3695 0.2240
0.3698 0.9998 0.7763
0.6302 0.0002 0.2237
0.6305 0.6305 0.7760
0.3334 0.6666 0.0000
0.6666 0.3334 0.0000
0.0010 0.0010 0.6069
0.3332 0.6668 0.5000
0.6668 0.3332 0.5000
0.9990 0.9990 0.3931
```

Principal peaks in the range 10° ≤ 2θ ≤ 80°, by intensity:
2θ/deg  I/Imax
32.02  100
29.73  42
35.54  29
51.28  28
27.03  22
31.88  19
28.93  19
50.99  17
63.98  15
61.74  13
26.24  13
58.91  12

Record 9
For Pm3Sm3Er2, a PBE-relaxed structure gives the theoretical powder X-ray diffraction pattern in this record (Cu Kα (weighted mean of Kα1 and Kα2)).
Peak positions follow from Bragg's law for the DFT cell and can differ from measured ones.

Structure:
```
Pm3Sm3Er2
1.0
5.7836 0.0000 0.0000
0.0000 14.6520 0.0000
0.0000 0.0000 6.3342
Pm Sm Er
6 6 4
direct
0.2500 0.1242 0.1673
0.2500 0.3758 0.1673
0.2500 0.7500 0.6616
0.7500 0.2500 0.3384
0.7500 0.6242 0.8327
0.7500 0.8758 0.8327
0.2500 0.0005 0.6670
0.2500 0.2500 0.6730
0.2500 0.4995 0.6670
0.7500 0.5005 0.3330
0.7500 0.7500 0.3270
0.7500 0.9995 0.3330
0.2500 0.6254 0.1637
0.2500 0.8746 0.1637
0.7500 0.1254 0.8363
0.7500 0.3746 0.8363
```

Principal peaks in the range 10° ≤ 2θ ≤ 80°, by intensity:
2θ/deg  I/Imax
32.20  100
30.92  25
28.15  24
59.81  23
55.81  21
49.83  20
60.58  16
42.31  16
78.06  8
67.38  4
71.75  3
58.21  3

Record 10
For PmSm6Er2, a PBE-relaxed structure gives the theoretical powder X-ray diffraction pattern in this record (Cu Kα (weighted mean of Kα1 and Kα2)).
Peak positions follow from Bragg's law for the DFT cell and can differ from measured ones.

Structure:
```
PmSm6Er2
1.0
9.3582 -1.8039 0.0000
9.3582 1.8039 0.0000
-0.0371 0.0000 8.8227
Pm Sm Er
1 6 2
direct
0.0000 0.0000 0.0000
0.1097 0.1097 0.6647
0.2211 0.2211 0.3346
0.3336 0.3336 0.0007
0.6664 0.6664 0.9993
0.7789 0.7789 0.6654
0.8903 0.8903 0.3353
0.4448 0.4448 0.6661
0.5552 0.5552 0.3339
```

Principal peaks in the range 10° ≤ 2θ ≤ 80°, by intensity:
2θ/deg  I/Imax
30.38  100
35.17  34
60.16  29
50.63  24
35.31  17
60.34  14
50.72  12
63.19  9
74.35  4
63.24  3
74.68  2

Record 11
For PmSm8Er6, a PBE-relaxed structure gives the theoretical powder X-ray diffraction pattern in this record (Cu Kα (weighted mean of Kα1 and Kα2)).
Peak positions follow from Bragg's law for the DFT cell and can differ from measured ones.

Structure:
```
PmSm8Er6
1.0
4.5319 2.6165 6.9315
-4.5319 2.6165 6.9315
0.0000 -5.2330 6.9315
Pm Sm Er
1 8 6
direct
0.0000 0.0000 0.0000
0.1122 0.7178 0.7490
0.2510 0.8878 0.2822
0.2822 0.2510 0.8878
0.4227 0.4227 0.4227
0.5773 0.5773 0.5773
0.7178 0.7490 0.1122
0.7490 0.1122 0.7178
0.8878 0.2822 0.2510
0.0993 0.5373 0.2458
0.2458 0.0993 0.5372
0.4627 0.7542 0.9007
0.5372 0.2458 0.0993
0.7542 0.9007 0.4628
0.9007 0.4628 0.7542
```

Principal peaks in the range 10° ≤ 2θ ≤ 80°, by intensity:
2θ/deg  I/Imax
31.35  100
32.22  30
30.43  27
36.71  13
34.82  13
32.52  12
52.86  12
53.86  11
55.24  11
60.08  8
62.78  8
53.50  8

Record 12
For Pm5Sm2Er12, a PBE-relaxed structure gives the theoretical powder X-ray diffraction pattern in this record (Cu Kα (weighted mean of Kα1 and Kα2)).
Peak positions follow from Bragg's law for the DFT cell and can differ from measured ones.

Structure:
```
Pm5Sm2Er12
1.0
7.7765 -4.6375 0.0000
7.7765 4.6375 0.0000
-0.3403 0.0000 8.5997
Pm Sm Er
5 2 12
direct
0.0000 0.0000 0.0000
0.2307 0.2307 0.0720
0.2935 0.2935 0.4817
0.7065 0.7065 0.5183
0.7693 0.7693 0.9280
0.3247 0.6753 0.5000
0.6753 0.3247 0.5000
0.0299 0.6729 0.2588
0.0757 0.0757 0.3753
0.1807 0.5600 0.8355
0.3271 0.9701 0.7412
0.4400 0.8193 0.1645
0.4437 0.4437 0.1655
0.5563 0.5563 0.8345
0.5600 0.1807 0.8355
0.6729 0.0299 0.2588
0.8193 0.4400 0.1645
0.9243 0.9243 0.6247
0.9701 0.3271 0.7412
```

Principal peaks in the range 10° ≤ 2θ ≤ 80°, by intensity:
2θ/deg  I/Imax
31.69  100
32.99  41
30.28  38
35.59  31
31.36  30
31.20  25
36.14  24
55.56  22
30.00  21
58.74  18
28.30  16
32.10  14